This entry pairs a crystal structure of Li4Ni3O4 with its simulated X-ray powder pattern. Radiation: Cu Kα (weighted mean of Kα1 and Kα2). Structure: a GGA+U-relaxed structure.
Kinematic intensities with the Lorentz-polarization factor, no thermal factor.

Principal peaks in the range 10° ≤ 2θ ≤ 80°, in order of rising 2θ:
- 15.64 deg, 5.665 Å, rel. 65
- 27.97 deg, 3.189 Å, rel. 57
- 30.01 deg, 2.978 Å, rel. 60
- 42.69 deg, 2.118 Å, rel. 48
- 44.39 deg, 2.041 Å, rel. 100
- 47.45 deg, 1.916 Å, rel. 88

a = 6.561 Å, b = 6.561 Å, c = 6.561 Å
α = 154.54°, β = 126.02°, γ = 60.60°
Sites, in units of the cell vectors:
Li 0.012 0.827 0.184
Li 0.357 0.173 0.184
Li 0.643 0.827 0.816
Li 0.988 0.173 0.816
Ni 0.000 0.500 0.500
Ni 0.395 0.395 0.000
Ni 0.605 0.605 0.000
O 0.254 0.000 0.254
O 0.260 0.760 0.500
O 0.740 0.240 0.500
O 0.746 0.000 0.746